Starting from a crystal structure in OQMD, relaxed with PBE, the powder diffraction line list of K3LiPtO4 was simulated for Cu Kα (λ = 1.5418 Å).
Peak positions follow from Bragg's law for the DFT cell and can differ from measured ones.

Top 12 peaks for 2θ from 15° to 90°, sorted by position:
17.12°, d = 5.178 Å, I = 72, hkl 2 0 0; 18.41°, d = 4.820 Å, I = 100, hkl 1 1 -1; 18.54°, d = 4.785 Å, I = 59, hkl 0 2 0; 21.76°, d = 4.084 Å, I = 92, hkl 1 1 1; 25.34°, d = 3.514 Å, I = 62, hkl 2 2 0; 28.33°, d = 3.151 Å, I = 64, hkl 3 1 -1; 31.64°, d = 2.828 Å, I = 28, hkl 0 0 2; 32.10°, d = 2.788 Å, I = 48, hkl 2 0 -2; 32.33°, d = 2.769 Å, I = 95, hkl 1 3 -1; 34.42°, d = 2.606 Å, I = 45, hkl 1 3 1; 36.92°, d = 2.435 Å, I = 26, hkl 0 2 2; 44.30°, d = 2.045 Å, I = 36, hkl 3 3 1

Structural model:
Unit cell a=10.689 b=9.570 c=5.838 alpha=90.00 beta=104.33 gamma=90.00
Space group C2/c (No. 15)
Inequivalent atoms, fractional coordinates:
K  0.000  0.096  0.250 x4
K  0.156  0.411  0.480 x8
Li  0.000  0.230  0.750 x4
Pt  0.250  0.250  0.000 x4
O  0.085  0.326  0.032 x8
O  0.156  0.133  0.736 x8